This entry pairs a crystal structure of MnPH4O5F with its theoretical powder diffraction line list. Radiation: Cu Kα, 1.54184 Å. Structure: a cell relaxed with GGA+U.
Intensities are scaled so that the largest is 100.

The 10 most intense peaks (2θ from 10° to 90°), low angle first:
d (Å)  2θ/deg  Rel. int.
8.254  10.72  83.7
4.416  20.11  100.0
4.304  20.64  44.4
4.127  21.53  75.7
3.186  28.00  70.2
2.908  30.74  52.5
2.751  32.55  70.4
2.730  32.80  81.9
2.717  32.96  25.3
1.741  52.56  27.2

Structural model:
Unit cell a=5.5844 b=5.6098 c=8.5306 alpha=84.32 beta=75.44 gamma=72.17
Space group P-1 (No. 2)
Asymmetric unit:
Mn1 0.0321 0.3139 0.1752 [2 per cell]
P1 0.3631 0.0765 0.8112 [2 per cell]
H1 0.1857 0.6129 0.4648 [2 per cell]
H2 0.2320 0.8440 0.5277 [2 per cell]
H3 0.2851 0.6843 0.2076 [2 per cell]
H4 0.4542 0.3995 0.2181 [2 per cell]
O1 0.1424 0.7165 0.5611 [2 per cell]
O2 0.1851 0.3084 0.9062 [2 per cell]
O3 0.2713 0.8435 0.8427 [2 per cell]
O4 0.2742 0.5149 0.2508 [2 per cell]
O5 0.3518 0.9738 0.1902 [2 per cell]
F1 0.3454 0.1603 0.6267 [2 per cell]